This entry pairs a crystal structure of Tb2Er2Al3 with its theoretical XRD peak list. Radiation: a wavelength of 1.5418 Å. Structure: a PBE-relaxed structure.
Intensities are scaled so that the largest is 100.

Atomic structure:
```
Tb2Er2Al3
1.0
3.5971 0.0000 0.0000
1.7925 5.7978 0.0000
0.0047 0.7227 8.2488
Tb Er Al
2 2 3
direct
0.2027 0.0954 0.1631 Tb
0.7973 0.9046 0.8369 Tb
0.0597 0.3825 0.7010 Er
0.9403 0.6175 0.2990 Er
0.3351 0.8295 0.5423 Al
0.5000 0.5000 0.0000 Al
0.6649 0.1705 0.4577 Al
```

Largest 12 diffraction maxima, by intensity, 2θ = 10–80°:
2θ = 34.41°, I 100, (1 0 2)
2θ = 35.21°, I 93, (-1 1 1)
2θ = 25.94°, I 50, (1 1 0)
2θ = 33.77°, I 49, (0 2 -1)
2θ = 34.89°, I 45, (0 1 3)
2θ = 21.55°, I 37, (0 0 2)
2θ = 31.93°, I 27, (0 2 1)
2θ = 63.09°, I 21, (2 0 -3)
2θ = 61.77°, I 21, (1 1 5)
2θ = 27.65°, I 20, (0 1 -2)
2θ = 17.96°, I 20, (0 1 1)
2θ = 46.34°, I 19, (1 2 3)